Computed powder diffraction line list
Compound: LaTbNd5
Radiation: Cu Kα
Structure: a PBE-relaxed structure
Intensities are scaled so that the largest is 100.

Largest 10 diffraction maxima, in order of rising 2θ, 5 to 70 degrees two-theta:
2theta	d [Å]	I/Imax	hkl
14.6	6.059	99	0 0 2
18.1	4.900	62	1 1 0
20.2	4.405	75	0 2 0
26.3	3.388	60	1 2 1
29.5	3.029	100	0 0 4
30.3	2.948	93	2 0 0
33.8	2.655	58	2 0 2
34.1	2.629	69	1 3 0
42.8	2.113	73	2 0 4
45.7	1.986	61	1 3 4

Structure:
```
data_LaTbNd5
_cell_length_a 5.897
_cell_length_b 8.811
_cell_length_c 12.117
_cell_angle_alpha 90.00
_cell_angle_beta 90.00
_cell_angle_gamma 90.00
_symmetry_space_group_name_H-M 'I m m m'
_symmetry_Int_Tables_number 71
_symmetry_space_group_name_Hall '-I 2 2'
loop_
_atom_site_label
_atom_site_fract_x
_atom_site_fract_y
_atom_site_fract_z
_atom_site_occupancy
La1 0.000 0.000 0.000 1
Tb1 0.000 0.000 0.500 1
Nd1 0.000 0.000 0.250 1
Nd2 0.000 0.323 0.000 1
Nd3 0.000 0.500 0.500 1
```